For Sn3Te, a crystal structure in the Materials Project, relaxed with GGA-PBE gives the computed X-ray powder pattern in this record (Cu Kα, 1.54184 Å).
Kinematic intensities with the Lorentz-polarization factor, no thermal factor.

Structural model:
Lattice parameters (Å, degrees): 4.8656 4.8656 4.8656 90.00 90.00 90.00
Sites, in units of the cell vectors:
1 Sn 0.0000 0.0000 0.5000
2 Sn 0.0000 0.5000 0.0000
3 Sn 0.5000 0.0000 0.0000
4 Te 0.5000 0.5000 0.5000

Most intense lines, 5° ≤ 2θ ≤ 70°, in order of rising 2θ:
2theta, d_spacing, I_rel
31.86, 2.809, 100
36.95, 2.433, 51
53.25, 1.720, 36
63.40, 1.467, 43
66.58, 1.405, 12